(1)
Starting from DFT lattice parameters and positions (GGA+U), the XRD peak list of NdMn2O5 was simulated for Cu Kα.

Structure:
Cell lengths 5.0652, 5.0652, 9.6196 Å; angles 90.00, 90.00, 131.13 degrees
Positions (direct):
Nd (0.0295, 0.9705, 0.7500)
Nd (0.9705, 0.0295, 0.2500)
Mn (0.3502, 0.6498, 0.5513)
Mn (0.3502, 0.6498, 0.9487)
Mn (0.6498, 0.3502, 0.0513)
Mn (0.6498, 0.3502, 0.4487)
O (0.1577, 0.8423, 0.0343)
O (0.1577, 0.8423, 0.4657)
O (0.2831, 0.7169, 0.7500)
O (0.4547, 0.5453, 0.1204)
O (0.4547, 0.5453, 0.3796)
O (0.5453, 0.4547, 0.6204)
O (0.5453, 0.4547, 0.8796)
O (0.7169, 0.2831, 0.2500)
O (0.8423, 0.1577, 0.5343)
O (0.8423, 0.1577, 0.9657)

Principal peaks in the range 2θ from 10° to 80°, by angle:
- 19.2 deg, intensity 23
- 26.8 deg, intensity 53
- 29.9 deg, intensity 100
- 34.1 deg, intensity 22
- 36.2 deg, intensity 33
- 43.2 deg, intensity 33
- 43.5 deg, intensity 25
- 44.5 deg, intensity 28

(2)
Starting from DFT lattice parameters and positions (GGA+U), the XRD peak list of RbNd2MnO5 was simulated for Cu Kα.

Structure:
Cell lengths 7.6092, 7.6092, 7.6092 Å; angles 128.20, 123.79, 79.95 degrees
Positions (direct):
Rb (0.2500, 0.2500, 0.0000)
Rb (0.7500, 0.7500, 0.0000)
Nd (0.1708, 0.6931, 0.8639)
Nd (0.3292, 0.1931, 0.5223)
Nd (0.6708, 0.8069, 0.4777)
Nd (0.8292, 0.3069, 0.1361)
Mn (0.2500, 0.7500, 0.5000)
Mn (0.7500, 0.2500, 0.5000)
O (0.0000, 0.0000, 0.0000)
O (0.0207, 0.2605, 0.5399)
O (0.2206, 0.7605, 0.2398)
O (0.2794, 0.5192, 0.5399)
O (0.4793, 0.0192, 0.2398)
O (0.5000, 0.5000, 0.0000)
O (0.5207, 0.9808, 0.7602)
O (0.7206, 0.4808, 0.4601)
O (0.7794, 0.2395, 0.7602)
O (0.9793, 0.7395, 0.4601)

Principal peaks in the range 2θ from 10° to 80°, by angle:
- 15.2 deg, intensity 38
- 29.3 deg, intensity 100
- 30.7 deg, intensity 59
- 31.0 deg, intensity 65
- 36.7 deg, intensity 46
- 36.9 deg, intensity 26
- 37.8 deg, intensity 27
- 53.5 deg, intensity 25

(3)
Starting from DFT lattice parameters and positions (GGA+U), the XRD peak list of Nd2MnSb2O was simulated for Cu Kα.

Structure:
Cell lengths 3.4267, 3.4267, 16.2710 Å; angles 90.00, 90.00, 90.00 degrees
Positions (direct):
Nd (0.0000, 0.0000, 0.1291)
Nd (0.0000, 0.0000, 0.8709)
Mn (0.0000, 0.0000, 0.5000)
Sb (0.0000, 0.0000, 0.3332)
Sb (0.0000, 0.0000, 0.6668)
O (0.0000, 0.0000, 0.0000)

Principal peaks in the range 2θ from 10° to 80°, by angle:
- 21.8 deg, intensity 23
- 26.0 deg, intensity 100
- 34.2 deg, intensity 30
- 37.1 deg, intensity 39
- 38.1 deg, intensity 23
- 42.5 deg, intensity 18
- 43.5 deg, intensity 16
- 60.4 deg, intensity 18

(4)
Starting from DFT lattice parameters and positions (GGA+U), the XRD peak list of Nd4MnSe6O was simulated for Cu Kα.

Structure:
Cell lengths 9.7112, 9.7112, 7.0481 Å; angles 90.00, 90.00, 120.00 degrees
Positions (direct):
Nd (0.2012, 0.4023, 0.0000)
Nd (0.2012, 0.7988, 0.0000)
Nd (0.3333, 0.6667, 0.4546)
Nd (0.4023, 0.2012, 0.5000)
Nd (0.5977, 0.7988, 0.0000)
Nd (0.6667, 0.3333, 0.9546)
Nd (0.7988, 0.2012, 0.5000)
Nd (0.7988, 0.5977, 0.5000)
Mn (0.0000, 0.0000, 0.1633)
Mn (0.0000, 0.0000, 0.6633)
Se (0.0623, 0.5311, 0.7166)
Se (0.1280, 0.2560, 0.3960)
Se (0.1280, 0.8720, 0.3960)
Se (0.2560, 0.1280, 0.8960)
Se (0.4689, 0.5311, 0.7166)
Se (0.4689, 0.9377, 0.7166)
Se (0.5311, 0.0623, 0.2166)
Se (0.5311, 0.4689, 0.2166)
Se (0.7440, 0.8720, 0.3960)
Se (0.8720, 0.1280, 0.8960)
Se (0.8720, 0.7440, 0.8960)
Se (0.9377, 0.4689, 0.2166)
O (0.3333, 0.6667, 0.1194)
O (0.6667, 0.3333, 0.6194)

Principal peaks in the range 2θ from 10° to 80°, by angle:
- 24.7 deg, intensity 59
- 30.9 deg, intensity 66
- 33.2 deg, intensity 100
- 34.4 deg, intensity 76
- 37.0 deg, intensity 58
- 38.1 deg, intensity 24
- 44.2 deg, intensity 32
- 56.9 deg, intensity 20

(5)
Starting from DFT lattice parameters and positions (GGA+U), the XRD peak list of Sr3NdMn2O8 was simulated for Cu Kα.

Structure:
Cell lengths 5.5394, 6.7784, 6.7784 Å; angles 48.12, 90.00, 90.00 degrees
Positions (direct):
Sr (0.0000, 0.0000, 0.0000)
Sr (0.0000, 0.2863, 0.2863)
Sr (0.5000, 0.7889, 0.7889)
Nd (0.5000, 0.5073, 0.5073)
Mn (0.0000, 0.6452, 0.6452)
Mn (0.5000, 0.1452, 0.1452)
O (0.0000, 0.4836, 0.4836)
O (0.0000, 0.8020, 0.8020)
O (0.2581, 0.3936, 0.8865)
O (0.2581, 0.8865, 0.3936)
O (0.5000, 0.3146, 0.3146)
O (0.5000, 0.9848, 0.9848)
O (0.7419, 0.3936, 0.8865)
O (0.7419, 0.8865, 0.3936)

Principal peaks in the range 2θ from 10° to 80°, by angle:
- 23.9 deg, intensity 16
- 31.5 deg, intensity 100
- 32.4 deg, intensity 76
- 43.2 deg, intensity 15
- 43.9 deg, intensity 44
- 46.4 deg, intensity 41
- 55.6 deg, intensity 21
- 57.2 deg, intensity 45

(6)
Starting from DFT lattice parameters and positions (GGA+U), the XRD peak list of SrNdMn2O5 was simulated for Cu Kα.

Structure:
Cell lengths 8.9502, 8.9502, 5.5083 Å; angles 107.90, 107.90, 127.36 degrees
Positions (direct):
Sr (0.1380, 0.8620, 0.0000)
Sr (0.8620, 0.1380, 0.0000)
Nd (0.3206, 0.6054, 0.9514)
Nd (0.6054, 0.3206, 0.9514)
Mn (0.2324, 0.7326, 0.4760)
Mn (0.5407, 0.5407, 0.5766)
Mn (0.7326, 0.2324, 0.4760)
Mn (0.9301, 0.9301, 0.4711)
O (0.1788, 0.9437, 0.5421)
O (0.3187, 0.5581, 0.4404)
O (0.4888, 0.9671, 0.9766)
O (0.4950, 0.9667, 0.4722)
O (0.5581, 0.3187, 0.4404)
O (0.5700, 0.5700, 0.0030)
O (0.8759, 0.8759, 0.7872)
O (0.9437, 0.1788, 0.5421)
O (0.9671, 0.4888, 0.9766)
O (0.9667, 0.4950, 0.4722)

Principal peaks in the range 2θ from 10° to 80°, by angle:
- 22.4 deg, intensity 17
- 31.3 deg, intensity 35
- 31.7 deg, intensity 100
- 32.5 deg, intensity 37
- 40.7 deg, intensity 16
- 45.7 deg, intensity 32
- 56.0 deg, intensity 27
- 57.5 deg, intensity 20

(7)
Starting from DFT lattice parameters and positions (GGA+U), the XRD peak list of SrNdMn4O12 was simulated for Cu Kα.

Structure:
Cell lengths 5.3699, 5.3699, 7.6007 Å; angles 90.00, 90.00, 90.00 degrees
Positions (direct):
Sr (0.0000, 0.0000, 0.0000)
Nd (0.5000, 0.5000, 0.5000)
Mn (0.0000, 0.5000, 0.2477)
Mn (0.0000, 0.5000, 0.7523)
Mn (0.5000, 0.0000, 0.2477)
Mn (0.5000, 0.0000, 0.7523)
O (0.0000, 0.5000, 0.0000)
O (0.0000, 0.5000, 0.5000)
O (0.2559, 0.2559, 0.2608)
O (0.2559, 0.2559, 0.7392)
O (0.2559, 0.7441, 0.2608)
O (0.2559, 0.7441, 0.7392)
O (0.5000, 0.0000, 0.0000)
O (0.5000, 0.0000, 0.5000)
O (0.7441, 0.2559, 0.2608)
O (0.7441, 0.2559, 0.7392)
O (0.7441, 0.7441, 0.2608)
O (0.7441, 0.7441, 0.7392)

Principal peaks in the range 2θ from 10° to 80°, by angle:
- 20.2 deg, intensity 83
- 33.4 deg, intensity 100
- 39.3 deg, intensity 45
- 47.9 deg, intensity 46
- 52.5 deg, intensity 20
- 59.6 deg, intensity 38
- 70.1 deg, intensity 26
- 79.9 deg, intensity 16

(8)
Starting from DFT lattice parameters and positions (GGA+U), the XRD peak list of NdMnTeO6 was simulated for Cu Kα.

Structure:
Cell lengths 5.7311, 5.7311, 8.4787 Å; angles 90.00, 90.00, 120.00 degrees
Positions (direct):
Nd (0.3333, 0.6667, 0.2500)
Nd (0.6667, 0.3333, 0.7500)
Mn (0.0000, 0.0000, 0.0000)
Mn (0.0000, 0.0000, 0.5000)
Te (0.3333, 0.6667, 0.7500)
Te (0.6667, 0.3333, 0.2500)
O (0.0578, 0.3714, 0.6232)
O (0.0578, 0.6864, 0.8768)
O (0.3136, 0.3714, 0.8768)
O (0.3136, 0.9422, 0.6232)
O (0.3714, 0.0578, 0.1232)
O (0.3714, 0.3136, 0.3768)
O (0.6286, 0.6864, 0.6232)
O (0.6286, 0.9422, 0.8768)
O (0.6864, 0.0578, 0.3768)
O (0.6864, 0.6286, 0.1232)
O (0.9422, 0.3136, 0.1232)
O (0.9422, 0.6286, 0.3768)

Principal peaks in the range 2θ from 10° to 80°, by angle:
- 21.0 deg, intensity 39
- 27.7 deg, intensity 100
- 31.2 deg, intensity 78
- 37.9 deg, intensity 61
- 42.2 deg, intensity 31
- 53.4 deg, intensity 31
- 53.8 deg, intensity 55
- 55.5 deg, intensity 28

(9)
Starting from DFT lattice parameters and positions (GGA+U), the XRD peak list of NdMn3V4O12 was simulated for Cu Kα.

Structure:
Cell lengths 6.5634, 6.5634, 6.5634 Å; angles 109.47, 109.47, 109.47 degrees
Positions (direct):
Nd (0.0000, 0.0000, 0.0000)
Mn (0.0000, 0.5000, 0.5000)
Mn (0.5000, 0.0000, 0.5000)
Mn (0.5000, 0.5000, 0.0000)
V (0.0000, 0.0000, 0.5000)
V (0.0000, 0.5000, 0.0000)
V (0.5000, 0.0000, 0.0000)
V (0.5000, 0.5000, 0.5000)
O (0.1084, 0.8121, 0.2964)
O (0.1880, 0.2964, 0.4843)
O (0.1880, 0.7036, 0.8916)
O (0.2964, 0.1084, 0.8121)
O (0.2964, 0.4843, 0.1880)
O (0.4843, 0.1880, 0.2964)
O (0.5157, 0.8121, 0.7036)
O (0.7036, 0.5157, 0.8121)
O (0.7036, 0.8916, 0.1880)
O (0.8121, 0.2964, 0.1084)
O (0.8121, 0.7036, 0.5157)
O (0.8916, 0.1880, 0.7036)

Principal peaks in the range 2θ from 10° to 80°, by angle:
- 16.5 deg, intensity 20
- 33.4 deg, intensity 100
- 37.5 deg, intensity 12
- 41.3 deg, intensity 9
- 44.7 deg, intensity 13
- 48.0 deg, intensity 30
- 59.8 deg, intensity 47
- 70.3 deg, intensity 14